Simulated PXRD pattern of Na2CaTaP3O12 for λ = 1.5418 Å (Cu Kα), from the PBE geometry in the Materials Project.

Structural model:
```
Na2CaTaP3O12
1.0
7.9083 -4.5468 0.0000
7.9083 4.5468 0.0000
-5.2622 0.0000 7.5448
Na Ca Ta P O
4 2 2 6 24
Cartesian
2.7542 2.2343 1.9806
5.2772 3.6408 3.7724
0.1231 -2.2343 5.7530
7.9083 -3.6408 0.0000
2.7356 2.1852 5.1098
5.3666 -2.1852 1.3374
8.1084 2.2110 2.1980
5.4773 -2.2110 5.9704
-0.2029 0.8123 3.5669
-2.8340 -0.8123 7.3394
5.5876 0.4497 3.6464
2.9566 -0.4497 7.4188
10.9700 1.0494 3.6870
8.3390 -1.0494 7.4594
-2.8697 0.7877 7.3483
1.2111 1.2956 3.7397
6.4490 2.8563 1.2035
4.4651 3.2792 6.0461
-0.2386 -0.7877 3.5759
9.3342 3.2937 1.0165
4.5153 1.5072 3.8363
-1.4200 -1.2956 7.5121
2.7493 0.3310 6.1762
6.9855 1.2133 3.5762
5.3803 -0.3310 2.4038
8.3165 0.5663 1.1387
9.5869 1.8112 3.5060
7.1463 -1.5072 0.0639
5.6854 -0.5663 4.9111
11.8405 1.2639 2.4919
4.3544 -1.2133 7.3486
3.8179 -2.8563 4.9759
13.3593 0.4370 0.0942
10.7282 -0.4370 3.8666
7.0962 -3.2792 2.2737
6.9559 -1.8112 7.2784
6.7032 -3.2937 4.7889
9.2095 -1.2639 6.2643
```

Top 6 peaks for 2θ from 15° to 90°, sorted by position:
| two_theta | d_spacing | I_rel |
| --- | --- | --- |
| 19.30 | 4.599 | 85.2 |
| 19.48 | 4.556 | 80.7 |
| 22.80 | 3.900 | 45.1 |
| 27.56 | 3.236 | 49.4 |
| 30.77 | 2.906 | 100.0 |
| 33.99 | 2.638 | 41.9 |